Structure and computed powder diffraction line list of K2Mn3H6S3O16 (a DFT-relaxed cell (GGA+U, Alexandria); Cu Kα, 1.54184 Å).
Intensities are scaled so that the largest is 100.

Peak list (10 most intense, 10° ≤ 2θ ≤ 80°, sorted by position)
| 2theta | Rel. int. |
| --- | --- |
| 12.3 | 31 |
| 15.1 | 57 |
| 21.5 | 42 |
| 26.3 | 31 |
| 26.8 | 40 |
| 28.3 | 50 |
| 28.8 | 100 |
| 29.3 | 77 |
| 32.3 | 80 |
| 43.4 | 31 |

Structure:
Cell: 18.3256 7.8556 10.0890 Å, 90.00 90.00 90.00°
Space group Cmc2_1 (No. 36)
Asymmetric unit:
K: 0.1922 0.0434 0.0000 [8 per cell]
Mn: 0.0000 0.1948 0.2659 [4 per cell]
Mn: 0.0886 0.4645 0.5494 [8 per cell]
H: 0.0000 0.1965 0.5174 [4 per cell]
H: 0.0000 0.4758 0.7630 [4 per cell]
H: 0.0921 0.1763 0.7129 [8 per cell]
H: 0.1719 0.2548 0.7144 [8 per cell]
S: 0.0000 0.1849 0.9396 [4 per cell]
S: 0.1782 0.3019 0.2765 [8 per cell]
O: 0.0000 0.0691 0.0570 [4 per cell]
O: 0.0000 0.0824 0.8138 [4 per cell]
O: 0.0000 0.3028 0.4664 [4 per cell]
O: 0.0000 0.4517 0.1844 [4 per cell]
O: 0.0667 0.2931 0.9394 [8 per cell]
O: 0.1219 0.1634 0.2704 [8 per cell]
O: 0.1287 0.2311 0.6561 [8 per cell]
O: 0.1615 0.4216 0.3864 [8 per cell]
O: 0.1800 0.3940 0.1464 [8 per cell]
O: 0.2494 0.2769 0.8020 [8 per cell]